(1)
Simulated XRD peak list
Compound: PmNd12Er6
Radiation: copper Kα
Structure: a structure optimized by DFT (PBE)
Peak positions follow from Bragg's law for the DFT cell and can differ from measured ones.

Structure:
Cell lengths 13.4762, 13.4762, 12.6642 Å; angles 90.00, 90.00, 120.00 degrees
Space group R-3m (No. 166, hexagonal axes)
Unique sites:
Pm  0.0000  0.0000  0.0000 (multiplicity 3)
Nd  0.0000  0.2584  0.5000 (multiplicity 18)
Nd  0.0905  0.1809  0.2628 (multiplicity 18)
Er  0.0433  0.5217  0.6203 (multiplicity 18)

Main lines, in order of falling intensity (2θ from 10° to 90°):
two_theta  d (Å)  I_rel  hkl
31.46  2.843  100  4 0 1
31.27  2.861  72  0 3 3
31.03  2.882  58  3 1 2
29.23  3.056  52  1 0 4
33.83  2.650  36  0 4 2
34.23  2.620  36  3 2 1
34.05  2.633  33  2 2 3
56.05  1.641  28  4 3 4
28.46  3.136  26  1 3 1
54.47  1.685  23  4 4 0

(2)
Simulated XRD peak list
Compound: CeGaCl4
Radiation: copper Kα
Structure: a structure optimized by DFT (PBE)
Peak positions follow from Bragg's law for the DFT cell and can differ from measured ones.

Structure:
Cell lengths 7.507, 10.209, 10.560 Å; angles 90.00, 90.00, 90.00 degrees
Space group Pbcm (No. 57)
Unique sites:
Ce  0.000  0.000  0.000 (multiplicity 4)
Ga  0.445  0.233  0.250 (multiplicity 4)
Cl  0.124  0.044  0.250 (multiplicity 4)
Cl  0.154  0.750  0.000 (multiplicity 4)
Cl  0.317  0.092  0.581 (multiplicity 8)

Main lines, in order of falling intensity (2θ from 10° to 90°):
two_theta  d (Å)  I_rel  hkl
21.05  4.221  100  1 2 0
20.57  4.319  96  1 0 2
34.17  2.624  59  2 2 2
41.08  2.197  47  1 4 2
24.25  3.670  45  0 2 2
40.29  2.238  44  1 2 4
11.79  7.507  37  1 0 0
16.79  5.280  25  0 0 2
33.96  2.640  25  0 0 4
53.52  1.712  24  1 0 6

(3)
Simulated XRD peak list
Compound: K2LiCd3Bi4
Radiation: copper Kα
Structure: a structure optimized by DFT (PBE)
Peak positions follow from Bragg's law for the DFT cell and can differ from measured ones.

Structure:
Cell lengths 5.083, 5.083, 12.586 Å; angles 90.00, 90.00, 90.00 degrees
Space group P-4m2 (No. 115)
Unique sites:
K  0.000  0.500  0.239 (multiplicity 2)
Li  0.500  0.500  0.000 (multiplicity 1)
Cd  0.000  0.000  0.000 (multiplicity 1)
Cd  0.000  0.500  0.644 (multiplicity 2)
Bi  0.000  0.000  0.500 (multiplicity 1)
Bi  0.000  0.500  0.873 (multiplicity 2)
Bi  0.500  0.500  0.500 (multiplicity 1)

Main lines, in order of falling intensity (2θ from 10° to 90°):
two_theta  d (Å)  I_rel  hkl
38.01  2.367  100  1 1 4
28.60  3.121  84  1 1 2
35.32  2.541  83  2 0 0
18.83  4.713  82  1 0 1
25.78  3.456  45  1 1 1
27.57  3.236  45  1 0 3
65.18  1.431  42  3 1 4
14.07  6.293  34  0 0 2
50.81  1.797  30  2 2 0
39.97  2.256  29  1 0 5